TcOsPb: computed powder XRD pattern (Cu Kα X-rays), based on DFT lattice parameters and positions (GGA-PBE).
No peak broadening, texture or thermal motion is included.

Main lines, sorted by position (10° ≤ 2θ ≤ 80°):
(0 0 4), 29.1 deg, intensity 13; (1 0 1), 30.8 deg, intensity 12; (1 0 3), 37.3 deg, intensity 100; (1 1 0), 42.8 deg, intensity 38; (1 0 7), 61.2 deg, intensity 14; (2 0 0), 62.1 deg, intensity 13; (1 1 6), 63.2 deg, intensity 15; (2 1 3), 74.7 deg, intensity 27

Structure:
a = 2.987 Å, b = 2.987 Å, c = 12.292 Å
α = 90.00°, β = 90.00°, γ = 90.00°
Space group I4mm (No. 107)
Symmetry-distinct sites (fractional):
Tc1 0.000 0.000 0.000 x2
Os1 0.000 0.000 0.380 x2
Pb1 0.000 0.000 0.689 x2